Starting from the PBE geometry in Alexandria, the PXRD pattern of LaHgSbF2 was calculated for copper Kα.
Peak positions follow from Bragg's law for the DFT cell and can differ from measured ones.

Peak list (10 most intense, 15° ≤ 2θ ≤ 90°, most intense first)
| 2θ (°) | d [Å] | intensity | h k l |
| --- | --- | --- | --- |
| 28.16 | 3.169 | 1000 | 1 1 0 |
| 25.76 | 3.459 | 900 | 0 0 2 |
| 38.53 | 2.337 | 884 | 1 1 2 |
| 48.40 | 1.881 | 640 | 2 0 2 |
| 19.81 | 4.482 | 615 | 1 0 0 |
| 40.24 | 2.241 | 549 | 2 0 0 |
| 31.04 | 2.881 | 455 | 1 1 1 |
| 32.70 | 2.738 | 365 | 1 0 2 |
| 72.01 | 1.311 | 295 | 3 1 2 |
| 64.71 | 1.441 | 263 | 2 2 2 |

Structure:
Cell: 4.4817 4.4817 6.9179 Å, 90.00 90.00 90.00°
Space group P4/mmm (No. 123)
One atom of each set of equivalent atoms:
La: 0.0000 0.0000 0.0000
Hg: 0.0000 0.0000 0.5000
Sb: 0.5000 0.5000 0.5000
F: 0.0000 0.5000 0.0000